GeSe2O6: computed powder diffractogram (Cu Kα (λ = 1.5418 Å)), based on a DFT-relaxed cell (PBE, the Materials Project).
Peak positions follow from Bragg's law for the DFT cell and can differ from measured ones.

Atomic structure:
```
GeSe2O6
1.0
7.912 0.000 0.000
0.000 7.912 0.000
0.000 0.000 7.912
Ge Se O
4 8 24
direct
0.000 0.000 0.000 Ge
0.000 0.500 0.500 Ge
0.500 0.000 0.500 Ge
0.500 0.500 0.000 Ge
0.170 0.670 0.830 Se
0.170 0.830 0.330 Se
0.330 0.170 0.830 Se
0.330 0.330 0.330 Se
0.670 0.670 0.670 Se
0.670 0.830 0.170 Se
0.830 0.170 0.670 Se
0.830 0.330 0.170 Se
0.027 0.740 0.472 O
0.027 0.760 0.972 O
0.028 0.527 0.740 O
0.028 0.973 0.240 O
0.240 0.028 0.973 O
0.240 0.472 0.473 O
0.260 0.528 0.973 O
0.260 0.972 0.473 O
0.472 0.027 0.740 O
0.472 0.473 0.240 O
0.473 0.240 0.472 O
0.473 0.260 0.972 O
0.527 0.740 0.028 O
0.527 0.760 0.528 O
0.528 0.527 0.760 O
0.528 0.973 0.260 O
0.740 0.028 0.527 O
0.740 0.472 0.027 O
0.760 0.528 0.527 O
0.760 0.972 0.027 O
0.972 0.027 0.760 O
0.972 0.473 0.260 O
0.973 0.240 0.028 O
0.973 0.260 0.528 O
```

Top 10 peaks for 10 to 90 degrees two-theta, low angle first:
| (hkl) | d [Å] | Rel. int. |
| --- | --- | --- |
| 1 1 1 | 4.568 | 301 |
| 2 1 0 | 3.538 | 1000 |
| 2 1 1 | 3.230 | 422 |
| 2 2 0 | 2.797 | 239 |
| 3 1 1 | 2.386 | 476 |
| 3 1 2 | 2.115 | 331 |
| 4 0 2 | 1.769 | 294 |
| 4 3 1 | 1.552 | 208 |
| 3 3 3 | 1.523 | 195 |
| 5 1 3 | 1.337 | 192 |